[1]
Theoretical powder diffraction line list
Compound: Er4Sb
Radiation: Cu Kα X-rays
Structure: DFT lattice parameters and positions (PBE)
Kinematic intensities with the Lorentz-polarization factor, no thermal factor.

Crystal structure
```
Er4Sb
1.0
5.665 0.000 0.000
0.000 5.665 0.000
0.000 0.000 5.665
Er Sb
4 1
Cartesian
0.000 0.000 0.000
0.000 2.833 2.833
2.833 0.000 2.833
2.833 2.833 0.000
2.833 2.833 2.833
```

Most intense lines, 10° ≤ 2θ ≤ 90°, most intense first:
d/Å	Rel. int.
2.833	100
3.271	92
2.003	74
1.708	44
1.267	33
1.635	26
1.156	26
1.300	18
5.665	13
1.416	12

---

[2]
Theoretical powder diffraction line list
Compound: Er4Sb3
Radiation: Cu Kα X-rays
Structure: DFT lattice parameters and positions (PBE)
Kinematic intensities with the Lorentz-polarization factor, no thermal factor.

Crystal structure
```
Er4Sb3
1.0
-4.557 4.557 4.557
4.557 -4.557 4.557
4.557 4.557 -4.557
Er Sb
8 6
Cartesian
2.944 1.613 -1.613
5.223 -0.666 0.666
1.613 -1.613 2.944
1.613 1.613 1.613
-1.613 2.944 1.613
0.666 5.223 -0.666
-0.666 0.666 5.223
3.891 3.891 3.891
4.557 -2.278 3.418
3.418 4.557 -2.278
4.557 2.278 1.139
2.278 1.139 4.557
1.139 4.557 2.278
-2.278 3.418 4.557
```

Most intense lines, 10° ≤ 2θ ≤ 90°, most intense first:
d/Å	Rel. int.
2.882	100
2.436	70
1.478	25
1.787	24
1.860	19
1.406	15
1.240	14
1.441	12
2.038	9
1.943	8

---

[3]
Theoretical powder diffraction line list
Compound: Er5ScSb4
Radiation: Cu Kα X-rays
Structure: DFT lattice parameters and positions (PBE)
Kinematic intensities with the Lorentz-polarization factor, no thermal factor.

Crystal structure
```
Er5ScSb4
1.0
9.146 -2.110 0.000
9.146 2.110 0.000
-2.197 0.000 7.924
Er Sc Sb
5 1 4
Cartesian
0.000 0.000 0.000
5.556 0.000 1.172
4.614 0.000 5.426
11.481 0.000 2.498
10.539 0.000 6.751
-1.098 0.000 3.962
1.746 0.000 4.600
8.472 0.000 1.994
7.623 0.000 5.930
14.349 0.000 3.324
```

Most intense lines, 10° ≤ 2θ ≤ 90°, most intense first:
d/Å	Rel. int.
2.941	100
2.112	39
2.047	22
1.714	13
3.431	12
2.054	11
1.331	11
1.299	8
1.472	8
1.206	8

---

[4]
Theoretical powder diffraction line list
Compound: Er3Sc2Sb3
Radiation: Cu Kα X-rays
Structure: DFT lattice parameters and positions (PBE)
Kinematic intensities with the Lorentz-polarization factor, no thermal factor.

Crystal structure
```
Er3Sc2Sb3
1.0
8.739 0.000 0.000
-4.369 7.568 0.000
0.000 0.000 6.069
Er Sc Sb
6 4 6
Cartesian
-1.072 1.856 1.517
-3.298 5.712 4.552
2.144 0.000 1.517
1.072 1.856 4.552
6.595 0.000 4.552
3.298 5.712 1.517
0.000 5.045 0.000
0.000 5.045 3.035
4.369 2.523 0.000
4.369 2.523 3.035
-1.724 2.986 4.552
-2.646 4.582 1.517
3.447 0.000 4.552
1.724 2.986 1.517
5.291 0.000 1.517
2.646 4.582 4.552
```

Most intense lines, 10° ≤ 2θ ≤ 90°, most intense first:
d/Å	Rel. int.
2.587	100
3.035	31
2.492	31
1.652	28
4.369	20
2.523	19
2.860	15
1.669	12
1.354	10
1.606	10

---

[5]
Theoretical powder diffraction line list
Compound: SmEr2ScSb4
Radiation: Cu Kα X-rays
Structure: DFT lattice parameters and positions (PBE)
Kinematic intensities with the Lorentz-polarization factor, no thermal factor.

Crystal structure
```
SmEr2ScSb4
1.0
6.150 0.000 0.000
0.000 6.150 0.000
0.000 0.000 12.250
Sm Er Sc Sb
2 4 2 8
Cartesian
0.000 0.000 0.000
3.075 3.075 6.125
0.000 3.075 3.062
0.000 3.075 9.187
3.075 0.000 3.062
3.075 0.000 9.187
0.000 0.000 6.125
3.075 3.075 0.000
0.000 0.000 3.157
0.000 0.000 9.093
0.000 3.075 0.000
0.000 3.075 6.125
3.075 0.000 0.000
3.075 0.000 6.125
3.075 3.075 2.968
3.075 3.075 9.282
```

Most intense lines, 10° ≤ 2θ ≤ 90°, most intense first:
d/Å	Rel. int.
2.171	100
3.075	89
3.062	44
1.773	35
1.375	30
1.254	22
1.371	15
1.537	11
1.252	11
5.496	6

---

[6]
Theoretical powder diffraction line list
Compound: TbErSc2Sb4
Radiation: Cu Kα X-rays
Structure: DFT lattice parameters and positions (PBE)
Kinematic intensities with the Lorentz-polarization factor, no thermal factor.

Crystal structure
```
TbErSc2Sb4
1.0
7.392 0.000 0.000
0.000 4.276 0.000
-2.469 0.000 6.979
Tb Er Sc Sb
1 1 2 4
Cartesian
0.000 0.000 0.000
-1.235 2.138 3.490
2.461 0.000 3.490
3.696 2.138 0.000
0.091 0.000 5.255
1.326 2.138 1.791
3.597 2.138 5.189
4.832 0.000 1.724
```

Most intense lines, 10° ≤ 2θ ≤ 90°, most intense first:
d/Å	Rel. int.
3.021	100
2.136	74
1.351	32
1.744	26
1.234	18
3.645	12
1.511	12
6.969	10
2.772	9
1.232	5

---

[7]
Theoretical powder diffraction line list
Compound: ErSb3Se6
Radiation: Cu Kα X-rays
Structure: DFT lattice parameters and positions (PBE)
Kinematic intensities with the Lorentz-polarization factor, no thermal factor.

Crystal structure
```
ErSb3Se6
1.0
12.056 0.000 0.000
0.000 4.005 0.000
-3.147 0.000 11.917
Er Sb Se
2 6 12
Cartesian
2.152 1.001 0.374
6.757 3.004 11.543
-0.521 3.004 3.451
2.729 1.001 5.074
2.177 3.004 10.110
6.732 1.001 1.808
6.179 3.004 6.843
9.429 1.001 8.466
-2.417 3.004 10.713
0.030 1.001 5.354
1.989 3.004 2.598
0.447 1.001 9.564
4.400 3.004 0.669
2.954 3.004 6.884
5.954 1.001 5.033
4.509 1.001 11.248
8.462 3.004 2.353
6.919 1.001 9.319
8.879 3.004 6.563
11.326 1.001 1.204
```

Most intense lines, 10° ≤ 2θ ≤ 90°, most intense first:
d/Å	Rel. int.
2.820	100
2.226	78
3.082	72
2.003	60
2.930	54
2.725	53
2.068	49
2.252	47
5.958	41
2.789	37

---

[8]
Theoretical powder diffraction line list
Compound: Er2SbSe
Radiation: Cu Kα X-rays
Structure: DFT lattice parameters and positions (PBE)
Kinematic intensities with the Lorentz-polarization factor, no thermal factor.

Crystal structure
```
Er2SbSe
1.0
4.194 0.000 0.000
0.000 5.965 0.000
0.000 0.000 8.399
Er Sb Se
4 2 2
Cartesian
1.048 1.491 0.981
1.048 1.491 5.334
3.145 4.473 3.065
3.145 4.473 7.418
1.048 4.473 5.263
3.145 1.491 3.136
1.048 4.473 1.022
3.145 1.491 7.377
```

Most intense lines, 10° ≤ 2θ ≤ 90°, most intense first:
d/Å	Rel. int.
2.967	100
2.103	94
2.982	51
1.716	40
1.212	25
1.328	25
2.097	19
1.332	17
3.432	17
1.215	13